Computed PXRD pattern
Compound: Nd4Y3Th
Radiation: CuKα
Structure: DFT lattice parameters and positions (GGA-PBE)
Peak positions follow from Bragg's law for the DFT cell and can differ from measured ones.

Structural model:
abc: 23.809 3.478 6.895
angles: 90.00 106.45 90.00
Fractional coordinates of all 16 atoms:
Nd  0.122  0.000  0.361
Nd  0.242  0.500  0.237
Nd  0.258  0.000  0.763
Nd  0.378  0.500  0.639
Nd  0.622  0.500  0.361
Nd  0.742  0.000  0.237
Nd  0.758  0.500  0.763
Nd  0.878  0.000  0.639
Y  0.000  0.000  0.500
Y  0.122  0.000  0.884
Y  0.378  0.500  0.116
Y  0.500  0.500  0.500
Y  0.622  0.500  0.884
Y  0.878  0.000  0.116
Th  0.000  0.500  0.000
Th  0.500  0.000  0.000

The 10 most intense peaks (10 to 90 degrees two-theta), in order of rising 2θ:
Position (°2θ)  intensity
13.4  33
28.2  30
28.7  58
30.2  90
30.4  89
31.3  78
32.4  43
32.8  100
36.9  43
61.9  23